Entry 1:
The following is a computed powder diffractogram of FeGeH. It was derived from a DFT-relaxed cell (GGA-PBE, Alexandria), using copper Kα.

Peak list (8 most intense, 15° ≤ 2θ ≤ 90°, low angle first)
Position (°2θ), d [Å], intensity
31.8, 2.815, 56
37.0, 2.430, 77
41.3, 2.188, 100
43.4, 2.087, 35
43.9, 2.064, 49
45.5, 1.993, 46
47.0, 1.935, 36
47.3, 1.921, 31

```
data_FeGeH
_chemical_formula_sum 'Fe8 Ge8 H8'
_cell_length_a 5.259
_cell_length_b 10.770
_cell_length_c 4.242
_cell_angle_alpha 90.00
_cell_angle_beta 90.00
_cell_angle_gamma 90.00
_symmetry_space_group_name_H-M 'P n a 21'
_symmetry_Int_Tables_number 33
loop_
_symmetry_equiv_pos_as_xyz
'x,y,z'
'-x,-y,z+1/2'
'-x+1/2,y+1/2,z+1/2'
'x+1/2,-y+1/2,z'
loop_
_atom_site_label
_atom_site_fract_x
_atom_site_fract_y
_atom_site_fract_z
Fe1 0.015 0.098 0.000
Fe2 0.023 0.683 0.251
Ge1 0.158 0.525 0.845
Ge2 0.221 0.278 0.274
H1 0.110 0.967 0.813
H2 0.141 0.180 0.712
```

***

Entry 2:
The following is a computed powder diffractogram of Li2Fe2Ge2H. It was derived from a DFT-relaxed cell (GGA-PBE, Alexandria), using copper Kα.

Peak list (8 most intense, 15° ≤ 2θ ≤ 90°, low angle first)
Position (°2θ), d [Å], intensity
25.2, 3.530, 62
31.7, 2.822, 35
37.3, 2.412, 35
42.0, 2.150, 20
44.4, 2.042, 100
49.8, 1.831, 37
77.6, 1.230, 16
89.7, 1.093, 25

```
data_Li2Fe2Ge2H
_chemical_formula_sum 'Li4 Fe4 Ge4 H2'
_cell_length_a 3.661
_cell_length_b 3.661
_cell_length_c 13.286
_cell_angle_alpha 90.00
_cell_angle_beta 90.00
_cell_angle_gamma 90.00
_symmetry_space_group_name_H-M 'I 4/m m m'
_symmetry_Int_Tables_number 139
_symmetry_space_group_name_Hall '-I 4 2'
loop_
_atom_site_label
_atom_site_fract_x
_atom_site_fract_y
_atom_site_fract_z
Li1 0.000 0.000 0.171
Fe1 0.000 0.500 0.000
Ge1 0.000 0.000 0.374
H1 0.000 0.000 0.000
```